ScMnWO6: simulated X-ray powder pattern (Cu Kα), based on a GGA+U-relaxed structure.
Neutral-atom scattering factors, no anomalous dispersion.

Most intense lines, 2θ = 15–90°, in order of rising 2θ:
- 2θ 19.3, d 4.587, I = 22, hkl 0 0 2
- 2θ 20.8, d 4.261, I = 69, hkl 1 0 1
- 2θ 26.2, d 3.402, I = 100, hkl 1 1 0
- 2θ 32.8, d 2.733, I = 22, hkl 1 1 2
- 2θ 34.8, d 2.581, I = 67, hkl 1 0 3
- 2θ 37.4, d 2.406, I = 19, hkl 2 0 0
- 2θ 43.2, d 2.095, I = 20, hkl 2 1 1
- 2θ 52.0, d 1.760, I = 62, hkl 2 1 3
- 2θ 65.7, d 1.420, I = 20, hkl 3 0 3
- 2θ 67.1, d 1.395, I = 20, hkl 1 1 6

```
ScMnWO6
1.0
4.8115 0.0000 0.0000
0.0000 4.8115 0.0000
0.0000 0.0000 9.1748
Sc Mn W O
2 2 2 12
Cartesian
0.0000 0.0000 0.0000 Sc
2.4058 2.4058 4.5874 Sc
0.0000 0.0000 3.0369 Mn
2.4058 2.4058 7.6243 Mn
0.0000 0.0000 6.1144 W
2.4058 2.4058 1.5270 W
0.8898 0.8898 4.5747 O
0.9142 0.9142 7.4897 O
0.9888 0.9888 1.5439 O
1.4170 3.3945 6.1314 O
1.4915 3.3200 2.9023 O
1.5160 3.2956 9.1621 O
3.2956 1.5160 9.1621 O
3.3200 1.4915 2.9023 O
3.3945 1.4170 6.1314 O
3.8227 3.8227 1.5439 O
3.8973 3.8973 7.4897 O
3.9217 3.9217 4.5747 O
```